1.
Starting from the GGA-PBE geometry in the Materials Project, the X-ray diffraction stick pattern of Th2C3 was simulated for Cu Kα, 1.54184 Å.
Neutral-atom scattering factors, no anomalous dispersion.

Crystal structure
a b c (Å): 8.5617 8.5617 8.5617
angles (deg): 90.00 90.00 90.00
Space group I-43d (No. 220)
Asymmetric unit:
Th 0.0485 0.4515 0.5485 (multiplicity 16)
C 0.0000 0.2500 0.7925 (multiplicity 24)

Peak list (6 most intense, 10° ≤ 2θ ≤ 90°, by intensity)
(2 2 0), 2θ 29.51, 3.027 Å, intensity 100.0
(3 1 0), 2θ 33.09, 2.707 Å, intensity 83.7
(4 3 1), 2θ 54.66, 1.679 Å, intensity 59.3
(2 1 1), 2θ 25.48, 3.495 Å, intensity 43.2
(3 2 1), 2θ 39.38, 2.288 Å, intensity 41.4
(5 2 1), 2θ 59.10, 1.563 Å, intensity 29.9



2.
Starting from the GGA-PBE geometry in the Materials Project, the X-ray diffraction stick pattern of LaF3 was simulated for Cu Kα, 1.54184 Å.
Neutral-atom scattering factors, no anomalous dispersion.

Crystal structure
a b c (Å): 3.8822 3.8822 6.6696
angles (deg): 90.00 90.00 90.00
Space group I4/mmm (No. 139)
Asymmetric unit:
La 0.0000 0.0000 0.0000 (multiplicity 2)
F 0.0000 0.0000 0.5000 (multiplicity 2)
F 0.0000 0.5000 0.2500 (multiplicity 4)

Peak list (6 most intense, 10° ≤ 2θ ≤ 90°, by intensity)
(1 0 1), 2θ 26.57, 3.355 Å, intensity 100.0
(1 1 2), 2θ 42.66, 2.119 Å, intensity 77.7
(2 1 1), 2θ 54.65, 1.679 Å, intensity 43.0
(1 1 0), 2θ 32.62, 2.745 Å, intensity 29.6
(2 0 0), 2θ 46.80, 1.941 Å, intensity 29.2
(0 0 2), 2θ 26.73, 3.335 Å, intensity 24.6



3.
Starting from the GGA-PBE geometry in the Materials Project, the X-ray diffraction stick pattern of AlCuH28S2ClO22 was simulated for Cu Kα, 1.54184 Å.
Neutral-atom scattering factors, no anomalous dispersion.

Crystal structure
a b c (Å): 6.2623 6.3099 13.4218
angles (deg): 82.52 88.77 85.34
Space group P-1 (No. 2)
Asymmetric unit:
Al 0.0000 0.0000 0.0000 (multiplicity 1)
Cu 0.5000 0.0000 0.5000 (multiplicity 1)
H 0.0302 0.6233 0.1026 (multiplicity 2)
H 0.0777 0.9958 0.1911 (multiplicity 2)
H 0.1087 0.1375 0.6823 (multiplicity 2)
H 0.1233 0.7303 0.3119 (multiplicity 2)
H 0.1349 0.2103 0.4564 (multiplicity 2)
H 0.1501 0.0077 0.3887 (multiplicity 2)
H 0.1498 0.2211 0.1307 (multiplicity 2)
H 0.2274 0.2975 0.9071 (multiplicity 2)
H 0.2853 0.6500 0.5298 (multiplicity 2)
H 0.3240 0.8078 0.9131 (multiplicity 2)
H 0.3728 0.7977 0.0319 (multiplicity 2)
H 0.4192 0.9743 0.7168 (multiplicity 2)
H 0.4564 0.2214 0.6841 (multiplicity 2)
H 0.4945 0.6149 0.5997 (multiplicity 2)
S 0.4329 0.4846 0.1893 (multiplicity 2)
Cl 0.0000 0.5000 0.5000 (multiplicity 1)
O 0.0489 0.8748 0.3021 (multiplicity 2)
O 0.0782 0.2637 0.9291 (multiplicity 2)
O 0.0980 0.0779 0.1221 (multiplicity 2)
O 0.2148 0.0739 0.4437 (multiplicity 2)
O 0.2162 0.4488 0.1523 (multiplicity 2)
O 0.2793 0.8706 0.9757 (multiplicity 2)
O 0.3756 0.1010 0.6683 (multiplicity 2)
O 0.4076 0.5539 0.2918 (multiplicity 2)
O 0.4238 0.7155 0.8063 (multiplicity 2)
O 0.4283 0.7013 0.5395 (multiplicity 2)
O 0.4769 0.3410 0.8814 (multiplicity 2)

Peak list (6 most intense, 10° ≤ 2θ ≤ 90°, by intensity)
(1 1 1), 2θ 19.77, 4.491 Å, intensity 100.0
(2 0 0), 2θ 28.61, 3.120 Å, intensity 63.3
(1 0 -1), 2θ 15.75, 5.627 Å, intensity 54.8
(1 0 0), 2θ 14.19, 6.241 Å, intensity 52.5
(0 0 3), 2θ 20.02, 4.436 Å, intensity 44.9
(0 1 -2), 2θ 20.74, 4.283 Å, intensity 43.5



4.
Starting from the GGA-PBE geometry in the Materials Project, the X-ray diffraction stick pattern of CsCu2F6 was simulated for Cu Kα, 1.54184 Å.
Neutral-atom scattering factors, no anomalous dispersion.

Crystal structure
a b c (Å): 10.3322 10.3322 10.3322
angles (deg): 90.00 90.00 90.00
Space group Fd-3m (No. 227, origin choice 2)
Asymmetric unit:
Cs 0.1250 0.1250 0.1250 (multiplicity 8)
Cu 0.0000 0.0000 0.5000 (multiplicity 16)
F 0.0665 0.3750 0.8750 (multiplicity 48)

Peak list (6 most intense, 10° ≤ 2θ ≤ 90°, by intensity)
(3 1 1), 2θ 28.66, 3.115 Å, intensity 100.0
(4 4 0), 2θ 49.93, 1.826 Å, intensity 36.3
(2 2 0), 2θ 24.37, 3.653 Å, intensity 32.7
(3 3 3), 2θ 45.62, 1.988 Å, intensity 31.0
(7 3 1), 2θ 69.94, 1.345 Å, intensity 23.1
(2 2 2), 2θ 29.96, 2.983 Å, intensity 20.8



5.
Starting from the GGA-PBE geometry in the Materials Project, the X-ray diffraction stick pattern of Pr2Fe17H3 was simulated for Cu Kα, 1.54184 Å.
Neutral-atom scattering factors, no anomalous dispersion.

Crystal structure
a b c (Å): 8.7395 8.7395 12.2542
angles (deg): 90.00 90.00 120.00
Space group R-3m (No. 166, hexagonal axes)
Asymmetric unit:
Pr 0.0000 0.0000 0.1556 (multiplicity 6)
Fe 0.0000 0.0000 0.4026 (multiplicity 6)
Fe 0.0000 0.2821 0.5000 (multiplicity 18)
Fe 0.0000 0.5000 0.0000 (multiplicity 9)
Fe 0.0059 0.5030 0.3431 (multiplicity 18)
H 0.0000 0.5000 0.5000 (multiplicity 9)

Peak list (6 most intense, 10° ≤ 2θ ≤ 90°, by intensity)
(3 0 3), 2θ 42.10, 2.146 Å, intensity 100.0
(2 2 0), 2θ 41.32, 2.185 Å, intensity 74.5
(3 0 0), 2θ 35.58, 2.523 Å, intensity 40.4
(1 1 3), 2θ 29.94, 2.984 Å, intensity 39.2
(0 0 6), 2θ 44.35, 2.042 Å, intensity 32.7
(0 2 4), 2θ 37.78, 2.381 Å, intensity 31.8



6.
Starting from the GGA-PBE geometry in the Materials Project, the X-ray diffraction stick pattern of PrHg3 was simulated for Cu Kα, 1.54184 Å.
Neutral-atom scattering factors, no anomalous dispersion.

Crystal structure
a b c (Å): 6.8766 6.8766 5.0813
angles (deg): 90.00 90.00 120.00
Space group P6_3/mmc (No. 194)
Asymmetric unit:
Pr 0.3333 0.6667 0.2500 (multiplicity 2)
Hg 0.1629 0.3258 0.7500 (multiplicity 6)

Peak list (6 most intense, 10° ≤ 2θ ≤ 90°, by intensity)
(2 0 1), 2θ 34.92, 2.569 Å, intensity 100.0
(2 0 0), 2θ 30.01, 2.978 Å, intensity 24.7
(2 2 2), 2θ 65.56, 1.424 Å, intensity 21.7
(0 0 2), 2θ 35.33, 2.541 Å, intensity 21.6
(2 2 0), 2θ 53.29, 1.719 Å, intensity 20.1
(2 0 3), 2θ 63.15, 1.472 Å, intensity 18.3



7.
Starting from the GGA-PBE geometry in the Materials Project, the X-ray diffraction stick pattern of RbSb2PS2O12 was simulated for Cu Kα, 1.54184 Å.
Neutral-atom scattering factors, no anomalous dispersion.

Crystal structure
a b c (Å): 5.2457 8.2030 13.1150
angles (deg): 82.02 87.77 86.78
Space group P-1 (No. 2)
Asymmetric unit:
Rb 0.2244 0.3350 0.1472 (multiplicity 2)
Sb 0.2803 0.2391 0.4634 (multiplicity 2)
Sb 0.3124 0.1963 0.8240 (multiplicity 2)
P 0.2341 0.5311 0.6396 (multiplicity 2)
S 0.2089 0.8914 0.3432 (multiplicity 2)
S 0.2410 0.7904 0.0281 (multiplicity 2)
O 0.0050 0.7015 0.0685 (multiplicity 2)
O 0.0123 0.3546 0.3641 (multiplicity 2)
O 0.0644 0.1047 0.6827 (multiplicity 2)
O 0.2142 0.4255 0.7473 (multiplicity 2)
O 0.2346 0.8318 0.4551 (multiplicity 2)
O 0.2464 0.9526 0.0622 (multiplicity 2)
O 0.2507 0.4328 0.5484 (multiplicity 2)
O 0.2684 0.7888 0.9168 (multiplicity 2)
O 0.3187 0.0556 0.3161 (multiplicity 2)
O 0.3553 0.7684 0.2832 (multiplicity 2)
O 0.4684 0.6801 0.0787 (multiplicity 2)
O 0.4729 0.6347 0.6400 (multiplicity 2)

Peak list (6 most intense, 10° ≤ 2θ ≤ 90°, by intensity)
(1 1 3), 2θ 27.08, 3.292 Å, intensity 100.0
(0 2 0), 2θ 21.91, 4.056 Å, intensity 76.0
(1 1 0), 2θ 19.71, 4.505 Å, intensity 57.5
(1 1 -3), 2θ 30.07, 2.971 Å, intensity 52.7
(1 -1 3), 2θ 29.98, 2.981 Å, intensity 49.8
(2 0 0), 2θ 34.26, 2.617 Å, intensity 46.6